Record 1
FeO2: computed powder X-ray diffraction pattern (Cu Ka), based on a crystal structure in the Materials Project, relaxed with PBE+U.

Principal peaks in the range 10 to 90 degrees two-theta, sorted by position:
2θ (°)	Rel. int.
12.34	100.0
17.38	36.8
17.59	40.1
27.69	24.7
27.93	27.1
35.18	10.7
35.62	10.4
36.12	40.5
36.21	22.2
47.87	14.3
48.18	17.2
57.84	11.0

Structural model:
```
24
Lattice="10.0830 0.0000 0.0000 0.0000 2.9695 0.0000 -0.0347 0.0000 10.2054" Properties=species:S:1:pos:R:3 pbc="T T T"
Fe 0.0000 0.0000 0.0000
Fe 0.0506 1.4847 3.1826
Fe 1.6907 0.0000 5.1874
Fe 1.9158 1.4847 8.4022
Fe 4.8877 1.4847 4.8002
Fe 5.1297 0.0000 8.0090
Fe 6.8024 1.4847 10.0781
Fe 6.9475 0.0000 3.0893
O -0.0050 1.4847 8.9345
O 0.0804 1.4847 1.2836
O 0.3960 1.4847 5.1027
O 1.3180 0.0000 3.2497
O 1.7153 0.0000 7.1277
O 1.9640 0.0000 9.6635
O 2.9497 1.4847 5.0618
O 3.8669 1.4847 8.1373
O 4.8496 0.0000 3.5728
O 5.1106 0.0000 6.0414
O 5.5559 0.0000 10.0091
O 6.3846 1.4847 8.0663
O 6.8234 1.4847 1.8429
O 6.8384 1.4847 4.3433
O 8.0500 0.0000 10.0303
O 8.9218 0.0000 3.2303
```

Record 2
LiV2P4H2O16: computed powder X-ray diffraction pattern (Cu Ka), based on a crystal structure in the Materials Project, relaxed with PBE+U.

Principal peaks in the range 10 to 90 degrees two-theta, sorted by position:
2θ (°)	Rel. int.
16.64	41.4
16.77	34.4
22.41	18.6
22.74	60.2
25.00	100.0
25.60	34.2
25.77	34.8
29.57	82.4
30.05	27.4
33.64	20.5
33.91	25.3
52.62	22.3

Structural model:
```
25
Lattice="4.8895 0.0000 0.0000 -1.8277 7.1392 0.0000 -0.0175 -0.0626 7.9358" Properties=species:S:1:pos:R:3 pbc="T T T"
Li 0.0000 0.0000 0.0000
V 0.1964 1.0664 2.9491
V 1.7085 4.4804 6.8251
P -0.5831 6.4423 5.6465
P 0.7299 6.2735 1.6880
P 2.7875 2.9670 4.0409
P 4.0556 2.7150 0.1413
H -0.5342 4.7015 2.8300
H 2.4881 0.8997 6.7902
O -0.3539 2.3727 1.5435
O -0.9982 6.8670 4.2550
O 0.2863 3.4902 7.3500
O 1.3195 0.0543 1.5111
O 1.5293 0.5444 6.5463
O 0.4157 4.9802 2.4378
O 0.6546 5.5043 5.5918
O 1.6094 2.1968 3.3705
O 1.3369 5.9149 0.2879
O 2.2443 3.3534 5.5057
O 1.8439 7.0653 2.4267
O 2.8376 3.6884 0.1844
O 3.7429 1.4070 7.2670
O 3.1451 4.2407 3.3493
O 3.9296 1.9472 4.2597
O 3.1747 5.7162 6.4276
```

Record 3
MnVP4O14: computed powder X-ray diffraction pattern (Cu Ka), based on a crystal structure in the Materials Project, relaxed with PBE+U.

Principal peaks in the range 10 to 90 degrees two-theta, sorted by position:
2θ (°)	Rel. int.
16.72	100.0
17.41	86.5
21.94	18.4
22.16	23.5
22.37	31.1
23.10	29.8
26.25	21.3
28.35	18.2
28.60	20.3
29.11	43.3
29.59	21.4
30.25	38.9

Structural model:
```
20
Lattice="4.8369 0.0000 0.0000 2.0040 6.7437 0.0000 0.1949 0.3313 8.1595" Properties=species:S:1:pos:R:3 pbc="T T T"
Mn 0.0000 0.0000 0.0000
V 3.2403 3.8408 4.0838
P 2.6764 1.3233 6.2577
P 4.4858 5.2013 1.4554
P 5.6539 5.4244 5.6165
P 5.5712 2.6165 2.2320
O 1.8469 5.0443 4.5228
O 0.8062 1.3137 1.5228
O 1.2450 0.9898 6.6364
O 2.1173 3.1176 2.7164
O 3.3962 5.4413 0.4384
O 2.6648 2.5770 5.3392
O 3.9011 5.1368 2.9076
O 4.3829 4.5521 5.4293
O 3.6162 1.4902 7.4408
O 5.2209 6.9348 5.2305
O 4.5981 2.6669 3.4594
O 5.6736 6.1447 1.4571
O 4.9997 3.6971 1.1869
O 6.2012 5.3979 7.0033
```

Record 4
Ba2SmMoO6: computed powder X-ray diffraction pattern (Cu Ka), based on a crystal structure in the Materials Project, relaxed with PBE+U.

Principal peaks in the range 10 to 90 degrees two-theta, sorted by position:
2θ (°)	Rel. int.
29.15	51.6
29.42	100.0
41.70	30.4
42.47	14.4
51.85	41.5
52.34	19.9
60.44	9.5
61.04	18.4
68.49	9.5
83.62	10.9
84.02	11.0
84.67	10.9

Structural model:
```
10
Lattice="-3.0633 3.0633 4.2566 3.0633 -3.0633 4.2566 3.0633 3.0633 -4.2566" Properties=species:S:1:pos:R:3 pbc="T T T"
Ba 3.0633 0.0000 2.1283
Ba 0.0000 3.0633 2.1283
Sm 0.0000 0.0000 0.0000
Mo 0.0000 0.0000 4.2566
O 4.3960 1.5152 0.0000
O 0.0000 0.0000 2.3091
O 1.5152 1.7306 0.0000
O 1.5481 1.3327 4.2566
O 0.0000 0.0000 6.2041
O -1.3327 1.5481 4.2566
```

Record 5
Li2MnCr3O8: computed powder X-ray diffraction pattern (Cu Ka), based on a crystal structure in the Materials Project, relaxed with PBE+U.

Principal peaks in the range 10 to 90 degrees two-theta, sorted by position:
2θ (°)	Rel. int.
18.34	100.0
18.52	27.3
35.57	42.3
35.80	15.5
37.18	8.8
43.31	70.2
57.13	7.3
57.27	12.6
62.65	20.9
63.17	20.3
65.91	8.1
79.22	7.8

Structural model:
```
14
Lattice="2.9656 1.7122 4.7901 -2.9656 1.7122 4.7901 0.0000 -3.4243 4.7901" Properties=species:S:1:pos:R:3 pbc="T T T"
Li 0.0000 0.0000 1.8138
Li 0.0000 0.0000 12.5565
Mn 0.0000 0.0000 7.1851
Cr -1.4828 -0.8561 4.7901
Cr -1.4828 0.8561 9.5801
Cr 0.0000 1.7122 4.7901
O 0.0000 0.0000 3.8102
O 0.0000 -1.5236 5.9636
O -1.3195 0.7618 5.9636
O -1.3195 -0.7618 8.4066
O 1.3195 0.7618 5.9636
O 1.3195 -0.7618 8.4066
O 0.0000 1.5236 8.4066
O 0.0000 0.0000 10.5600
```

Record 6
VPtO3: computed powder X-ray diffraction pattern (Cu Ka), based on a crystal structure in the Materials Project, relaxed with PBE+U.

Principal peaks in the range 10 to 90 degrees two-theta, sorted by position:
2θ (°)	Rel. int.
23.33	35.0
33.23	100.0
40.99	26.8
47.70	29.4
53.75	17.6
59.37	38.6
69.75	17.6
74.67	9.0
79.48	16.8
84.21	9.6
88.90	6.2

Structural model:
```
5
Lattice="3.8133 0.0000 0.0000 0.0000 3.8133 0.0000 0.0000 0.0000 3.8133" Properties=species:S:1:pos:R:3 pbc="T T T"
V 0.0000 0.0000 0.0000
Pt 1.9067 1.9067 1.9067
O 0.0000 0.0000 1.9067
O 0.0000 1.9067 0.0000
O 1.9067 0.0000 0.0000
```

Record 7
Li9Mn2Co5O16: computed powder X-ray diffraction pattern (Cu Ka), based on a crystal structure in the Materials Project, relaxed with PBE+U.

Principal peaks in the range 10 to 90 degrees two-theta, sorted by position:
2θ (°)	Rel. int.
18.35	100.0
35.33	16.4
36.35	12.6
36.47	12.1
37.60	7.5
42.48	30.1
44.03	26.5
44.38	25.2
62.44	7.7
62.96	7.3
63.24	14.7
64.74	7.0

Structural model:
```
32
Lattice="2.9433 0.0000 0.0000 -0.2481 10.0456 0.0000 -0.1573 -3.1144 9.6715" Properties=species:S:1:pos:R:3 pbc="T T T"
Li 0.0000 0.0000 0.0000
Li -0.1990 3.3604 4.9209
Li -0.3119 8.2825 5.0433
Li 1.0636 7.6234 7.4644
Li 1.1899 5.8125 4.9517
Li 1.3156 0.9291 4.9620
Li 1.2973 7.3875 0.0382
Li 1.4489 2.3781 0.0741
Li 2.7962 4.9388 0.1599
Mn -0.1429 0.0177 7.3599
Mn 1.1376 9.1473 2.5590
Co -0.2127 6.6217 2.5483
Co 1.2640 2.5975 7.3233
Co 1.3512 4.0731 2.5060
Co 2.6033 5.1904 7.3554
Co 2.8148 1.6853 2.4929
O -0.1643 -1.4210 8.4969
O -0.1645 5.0530 3.6090
O -0.0712 1.7012 6.2554
O 0.9740 5.8608 8.4994
O 1.0932 7.5327 3.6635
O 1.3892 0.6270 1.4224
O 1.3082 2.5517 3.6931
O 1.3362 -0.6857 6.2880
O 1.3167 0.9433 8.3536
O 1.2896 4.2016 6.2968
O 1.4042 5.8282 1.4137
O 2.5696 3.4995 8.4089
O 2.6245 8.3080 1.5396
O 2.6049 6.5465 6.2564
O 2.8548 -0.1586 3.6133
O 2.8216 3.3487 1.3251
```